Starting from a crystal structure in the Materials Project, relaxed with GGA-PBE, the PXRD pattern of BaY2S4 was calculated for Cu Kα X-rays.

Structural model:
```
data_BaY2S4
_chemical_formula_sum 'Ba4 Y8 S16'
_cell_length_a 12.332
_cell_length_b 4.061
_cell_length_c 14.603
_cell_angle_alpha 90.00
_cell_angle_beta 90.00
_cell_angle_gamma 90.00
_symmetry_space_group_name_H-M 'P n m a'
_symmetry_Int_Tables_number 62
loop_
_symmetry_equiv_pos_as_xyz
'x,y,z'
'-x,-y,-z'
'-x+1/2,-y,z+1/2'
'x+1/2,y,-z+1/2'
'x+1/2,-y+1/2,-z+1/2'
'-x+1/2,y+1/2,z+1/2'
'-x,y+1/2,-z'
'x,-y+1/2,z'
loop_
_atom_site_label
_atom_site_type_symbol
_atom_site_fract_x
_atom_site_fract_y
_atom_site_fract_z
Ba1 Ba 0.242 0.250 0.162
Y1 Y 0.067 0.250 0.391
Y2 Y 0.079 0.250 0.898
S1 S 0.022 0.750 0.783
S2 S 0.081 0.250 0.577
S3 S 0.124 0.750 0.023
S4 S 0.207 0.750 0.336
```

Top 8 peaks for 15° ≤ 2θ ≤ 90°, low angle first:
Position (°2θ), I/Imax, (hkl)
24.4, 44, 0 0 4
24.9, 100, 3 0 2
26.1, 40, 1 1 2
29.6, 81, 1 1 3
31.5, 58, 4 0 2
36.2, 64, 2 1 4
44.0, 34, 6 0 0
44.6, 35, 0 2 0

***

Starting from a crystal structure in the Materials Project, relaxed with GGA-PBE, the PXRD pattern of Ba2ZnS3 was calculated for Cu Kα X-rays.

Structural model:
```
data_Ba2ZnS3
_chemical_formula_sum 'Ba8 Zn4 S12'
_cell_length_a 12.171
_cell_length_b 4.259
_cell_length_c 12.752
_cell_angle_alpha 90.00
_cell_angle_beta 90.00
_cell_angle_gamma 90.00
_symmetry_space_group_name_H-M 'P n m a'
_symmetry_Int_Tables_number 62
loop_
_symmetry_equiv_pos_as_xyz
'x,y,z'
'-x,-y,-z'
'-x+1/2,-y,z+1/2'
'x+1/2,y,-z+1/2'
'x+1/2,-y+1/2,-z+1/2'
'-x+1/2,y+1/2,z+1/2'
'-x,y+1/2,-z'
'x,-y+1/2,z'
loop_
_atom_site_label
_atom_site_type_symbol
_atom_site_fract_x
_atom_site_fract_y
_atom_site_fract_z
Ba1 Ba 0.010 0.250 0.175
Ba2 Ba 0.174 0.250 0.517
Zn1 Zn 0.245 0.750 0.303
S1 S 0.060 0.750 0.360
S2 S 0.135 0.250 0.946
S3 S 0.225 0.750 0.707
```

Top 8 peaks for 15° ≤ 2θ ≤ 90°, low angle first:
Position (°2θ), I/Imax, (hkl)
22.2, 55, 1 0 3
23.0, 63, 3 0 1
26.2, 67, 1 1 2
26.5, 73, 2 1 1
29.2, 54, 2 1 2
30.6, 100, 1 1 3
41.8, 56, 3 0 5
42.5, 64, 0 2 0

***

Starting from a crystal structure in the Materials Project, relaxed with GGA-PBE, the PXRD pattern of Ba2ZnS3 was calculated for Cu Kα X-rays.

Structural model:
```
data_Ba2ZnS3
_chemical_formula_sum 'Ba8 Zn4 S12'
_cell_length_a 8.910
_cell_length_b 4.300
_cell_length_c 17.204
_cell_angle_alpha 90.00
_cell_angle_beta 90.00
_cell_angle_gamma 90.00
_symmetry_space_group_name_H-M 'P n m a'
_symmetry_Int_Tables_number 62
loop_
_symmetry_equiv_pos_as_xyz
'x,y,z'
'-x,-y,-z'
'-x+1/2,-y,z+1/2'
'x+1/2,y,-z+1/2'
'x+1/2,-y+1/2,-z+1/2'
'-x+1/2,y+1/2,z+1/2'
'-x,y+1/2,-z'
'x,-y+1/2,z'
loop_
_atom_site_label
_atom_site_type_symbol
_atom_site_fract_x
_atom_site_fract_y
_atom_site_fract_z
Ba1 Ba 0.081 0.250 0.213
Ba2 Ba 0.247 0.250 0.956
Zn1 Zn 0.135 0.250 0.635
S1 S 0.007 0.750 0.602
S2 S 0.130 0.750 0.072
S3 S 0.180 0.250 0.771
```

Top 8 peaks for 15° ≤ 2θ ≤ 90°, low angle first:
Position (°2θ), I/Imax, (hkl)
22.5, 66, 2 0 2
23.0, 60, 1 0 4
25.9, 100, 0 1 3
27.8, 69, 1 0 5
28.9, 60, 2 1 0
29.3, 79, 2 1 1
30.7, 69, 2 1 2
42.0, 59, 0 2 0